1.
Structure and computed powder X-ray diffraction pattern of K3Ac3MnSe8 (DFT lattice parameters and positions (PBE); copper Kα).
Peak positions follow from Bragg's law for the DFT cell and can differ from measured ones.

Cell: 9.338 9.338 9.338 Å, 56.23 56.23 56.23°
Sites, in units of the cell vectors:
K1 0.000 0.500 0.500
K2 0.500 0.000 0.500
K3 0.500 0.500 0.000
Ac1 0.000 0.000 0.500
Ac2 0.000 0.500 0.000
Ac3 0.500 0.000 0.000
Mn1 0.500 0.500 0.500
Se1 0.241 0.241 0.241
Se2 0.281 0.705 0.705
Se3 0.295 0.295 0.719
Se4 0.295 0.719 0.295
Se5 0.705 0.281 0.705
Se6 0.705 0.705 0.281
Se7 0.719 0.295 0.295
Se8 0.759 0.759 0.759

Top 10 peaks for 2θ from 15° to 90°, in order of rising 2θ:
2theta, I/Imax
23.65, 22
27.90, 100
35.64, 27
38.70, 32
41.02, 33
42.68, 19
48.87, 14
50.34, 16
63.60, 10
66.87, 12


2.
Structure and computed powder X-ray diffraction pattern of K2AcTcN4 (DFT lattice parameters and positions (PBE); copper Kα).
Peak positions follow from Bragg's law for the DFT cell and can differ from measured ones.

Cell: 7.188 7.986 5.767 Å, 90.00 90.00 90.00°
Sites, in units of the cell vectors:
K1 0.231 0.135 0.000
K2 0.269 0.865 0.500
K3 0.731 0.865 0.500
K4 0.769 0.135 0.000
Ac1 0.000 0.404 0.488
Ac2 0.500 0.596 0.988
Tc1 0.000 0.678 0.951
Tc2 0.500 0.322 0.451
N1 0.000 0.453 0.026
N2 0.000 0.682 0.639
N3 0.217 0.782 0.042
N4 0.283 0.218 0.542
N5 0.500 0.318 0.139
N6 0.500 0.547 0.526
N7 0.717 0.218 0.542
N8 0.783 0.782 0.042

Top 10 peaks for 2θ from 15° to 90°, in order of rising 2θ:
2theta, I/Imax
18.98, 32
22.69, 27
24.77, 17
27.18, 100
31.01, 30
31.39, 38
35.98, 16
37.09, 18
41.72, 25
45.21, 15


3.
Structure and computed powder X-ray diffraction pattern of K2Ac4Te3N2 (DFT lattice parameters and positions (PBE); copper Kα).
Peak positions follow from Bragg's law for the DFT cell and can differ from measured ones.

Cell: 14.337 14.337 14.337 Å, 159.24 159.24 29.53°
Sites, in units of the cell vectors:
K1 0.199 0.199 0.000
K2 0.801 0.801 0.000
Ac1 0.084 0.584 0.500
Ac2 0.416 0.916 0.500
Ac3 0.584 0.084 0.500
Ac4 0.916 0.416 0.500
Te1 0.330 0.330 0.000
Te2 0.500 0.500 0.000
Te3 0.670 0.670 0.000
N1 0.094 0.094 0.000
N2 0.906 0.906 0.000

Top 10 peaks for 2θ from 15° to 90°, in order of rising 2θ:
2theta, I/Imax
19.21, 13
25.21, 27
27.60, 20
31.21, 100
34.72, 45
38.98, 13
49.92, 16
53.18, 21
60.05, 33
86.91, 12


4.
Structure and computed powder X-ray diffraction pattern of K2AcU3N8 (DFT lattice parameters and positions (PBE); copper Kα).
Peak positions follow from Bragg's law for the DFT cell and can differ from measured ones.

Cell: 7.332 7.332 7.332 Å, 57.42 57.42 57.42°
Sites, in units of the cell vectors:
K1 0.000 0.000 0.000
K2 0.376 0.376 0.376
Ac1 0.767 0.767 0.767
U1 0.376 0.376 0.881
U2 0.376 0.881 0.376
U3 0.881 0.376 0.376
N1 0.119 0.119 0.547
N2 0.119 0.547 0.119
N3 0.152 0.152 0.152
N4 0.191 0.638 0.638
N5 0.547 0.119 0.119
N6 0.606 0.606 0.606
N7 0.638 0.191 0.638
N8 0.638 0.638 0.191

Top 10 peaks for 2θ from 15° to 90°, in order of rising 2θ:
2theta, I/Imax
17.47, 30
24.32, 48
28.44, 40
29.28, 75
29.69, 100
30.90, 62
35.36, 29
45.70, 30
49.82, 32
51.92, 36


5.
Structure and computed powder X-ray diffraction pattern of KAcNp2O8 (DFT lattice parameters and positions (PBE); copper Kα).
Peak positions follow from Bragg's law for the DFT cell and can differ from measured ones.

Cell: 6.746 6.746 6.746 Å, 129.90 129.90 73.56°
Sites, in units of the cell vectors:
K1 0.000 0.000 0.000
Ac1 0.250 0.750 0.500
Np1 0.500 0.500 0.000
Np2 0.750 0.250 0.500
O1 0.081 0.148 0.523
O2 0.186 0.609 0.006
O3 0.391 0.397 0.577
O4 0.443 0.919 0.068
O5 0.603 0.179 0.994
O6 0.625 0.557 0.477
O7 0.821 0.814 0.423
O8 0.852 0.375 0.932

Top 10 peaks for 2θ from 15° to 90°, in order of rising 2θ:
2theta, I/Imax
17.56, 23
27.57, 100
31.32, 25
33.16, 11
44.87, 19
46.25, 32
53.48, 32
55.89, 14
56.92, 11
74.37, 13


6.
Structure and computed powder X-ray diffraction pattern of KAcPa2O8 (DFT lattice parameters and positions (PBE); copper Kα).
Peak positions follow from Bragg's law for the DFT cell and can differ from measured ones.

Cell: 6.801 6.801 6.801 Å, 130.02 130.02 73.38°
Sites, in units of the cell vectors:
K1 0.000 0.000 0.000
Ac1 0.750 0.250 0.500
Pa1 0.250 0.750 0.500
Pa2 0.500 0.500 0.000
O1 0.163 0.129 0.548
O2 0.163 0.615 0.033
O3 0.385 0.419 0.548
O4 0.385 0.837 0.967
O5 0.581 0.129 0.967
O6 0.581 0.615 0.452
O7 0.871 0.419 0.033
O8 0.871 0.837 0.452

Top 10 peaks for 2θ from 15° to 90°, in order of rising 2θ:
2theta, I/Imax
17.44, 22
27.37, 100
31.13, 24
44.60, 18
45.88, 34
53.13, 33
55.37, 15
56.49, 10
73.73, 18
83.10, 11